Structure and calculated X-ray diffraction stick pattern of Nb2Co2O9 (a PBE+U-relaxed structure; λ = 1.5418 Å (Cu Kα)).
Peak positions follow from Bragg's law for the DFT cell and can differ from measured ones.

Principal peaks in the range 10 to 90 degrees two-theta, in order of rising 2θ:
2θ 21.0, I 56, (1 0 0)
2θ 24.5, I 100, (1 0 2)
2θ 32.8, I 75, (1 0 4)
2θ 36.8, I 46, (1 1 0)
2θ 50.2, I 27, (2 0 4)
2θ 53.8, I 64, (1 1 6)
2θ 63.8, I 23, (2 1 4)
2θ 66.3, I 23, (3 0 0)

Atomic structure:
```
data_Nb2Co2O9
_symmetry_space_group_name_H-M 'P 1'
_symmetry_Int_Tables_number 1
_cell_length_a 4.8805
_cell_length_b 4.8805
_cell_length_c 14.2754
_cell_angle_alpha 90.00
_cell_angle_beta 90.00
_cell_angle_gamma 120.00
loop_
_symmetry_equiv_pos_as_xyz
'x,y,z'
loop_
_atom_site_label
_atom_site_fract_x
_atom_site_fract_y
_atom_site_fract_z
Nb1 0.0000 0.0000 0.1566
Nb2 0.0000 0.0000 0.3434
Nb3 0.0000 0.0000 0.6566
Nb4 0.0000 0.0000 0.8434
Co1 0.3333 0.6667 0.0000
Co2 0.3333 0.6667 0.5000
Co3 0.6667 0.3333 0.0000
Co4 0.6667 0.3333 0.5000
O1 0.0000 0.2988 0.2500
O2 0.0000 0.3509 0.5713
O3 0.0000 0.3509 0.9287
O4 0.0000 0.6491 0.0713
O5 0.0000 0.6491 0.4287
O6 0.0000 0.7012 0.7500
O7 0.2988 0.0000 0.2500
O8 0.2988 0.2988 0.7500
O9 0.3509 0.0000 0.5713
O10 0.3509 0.0000 0.9287
O11 0.3509 0.3509 0.0713
O12 0.3509 0.3509 0.4287
O13 0.6491 0.0000 0.0713
O14 0.6491 0.0000 0.4287
O15 0.6491 0.6491 0.5713
O16 0.6491 0.6491 0.9287
O17 0.7012 0.0000 0.7500
O18 0.7012 0.7012 0.2500
```